Starting from a crystal structure in Alexandria, relaxed with PBE, the powder diffractogram of NaAlZn was computed for Cu Kα, 1.54184 Å.
No peak broadening, texture or thermal motion is included.

The 10 most intense peaks (2θ = 5–70°), most intense first:
2θ 38.00, I = 100, (1 2 1)
2θ 19.82, I = 98, (1 0 1)
2θ 39.85, I = 54, (0 2 2)
2θ 40.26, I = 52, (2 0 2)
2θ 38.57, I = 48, (1 0 3)
2θ 68.18, I = 39, (4 0 0)
2θ 32.57, I = 35, (2 0 0)
2θ 38.32, I = 24, (2 1 1)
2θ 23.00, I = 22, (0 0 2)
2θ 61.76, I = 22, (3 2 1)

Crystal structure
abc: 5.4961 5.5790 7.7350
angles: 90.00 90.00 90.00
Space group Imma (No. 74)
Inequivalent atoms, fractional coordinates:
Na (0.0000, 0.2500, 0.1256) (multiplicity 4)
Al (0.2500, 0.2500, 0.7500) (multiplicity 4)
Zn (0.0000, 0.0000, 0.5000) (multiplicity 4)